No. 1
Simulated powder X-ray diffraction pattern
Compound: PAuCl4
Radiation: Cu Kα X-rays
Structure: the PBE geometry in the Materials Project
Kinematic intensities with the Lorentz-polarization factor, no thermal factor.

Cell and atoms:
Unit cell a=7.709 b=15.202 c=6.530 alpha=90.00 beta=95.49 gamma=90.00
Space group P2_1/c (No. 14)
Asymmetric unit:
P  0.246  0.130  0.476 [4 per cell]
Au  0.453  0.233  0.481 [4 per cell]
Cl  0.020  0.171  0.575 [4 per cell]
Cl  0.170  0.078  0.196 [4 per cell]
Cl  0.303  0.022  0.650 [4 per cell]
Cl  0.337  0.659  0.514 [4 per cell]

Most intense lines, 15 to 90 degrees two-theta, sorted by position:
2θ 16.41, I 100, (1 2 0)
2θ 26.01, I 54, (2 2 0)
2θ 26.17, I 44, (1 4 0)
2θ 27.44, I 31, (0 0 2)
2θ 29.90, I 50, (0 2 2)
2θ 31.15, I 38, (1 2 -2)
2θ 33.15, I 26, (2 4 0)
2θ 36.43, I 23, (2 2 -2)


No. 2
Simulated powder X-ray diffraction pattern
Compound: CaMgSi2O2
Radiation: Cu Kα X-rays
Structure: the PBE geometry in the Materials Project
Kinematic intensities with the Lorentz-polarization factor, no thermal factor.

Cell and atoms:
Unit cell a=9.352 b=8.870 c=4.937 alpha=90.00 beta=102.88 gamma=90.00
Space group C2/c (No. 15)
Asymmetric unit:
Ca  0.000  0.193  0.250 [4 per cell]
Mg  0.000  0.416  0.750 [4 per cell]
Si  0.194  0.090  0.790 [8 per cell]
O  0.120  0.411  0.138 [8 per cell]

Most intense lines, 15 to 90 degrees two-theta, sorted by position:
2θ 24.88, I 34, (1 1 1)
2θ 31.22, I 100, (2 2 -1)
2θ 35.86, I 38, (1 3 -1)
2θ 36.21, I 39, (2 2 1)
2θ 37.37, I 47, (0 0 2)
2θ 44.98, I 44, (0 4 1)
2θ 64.89, I 28, (6 0 -2)
2θ 66.76, I 22, (5 3 1)